Record 1
Structure and calculated X-ray powder pattern of KPPb2 (a cell relaxed with PBE; copper Kα).
No peak broadening, texture or thermal motion is included.

Most intense lines, 10 to 90 degrees two-theta, low angle first:
d 7.638, I 1000, hkl 1 0 0; d 4.626, I 208, hkl 1 1 1; d 3.827, I 223, hkl 1 2 1; d 3.498, I 455, hkl 1 3 0; d 3.192, I 221, hkl 2 1 1; d 2.962, I 341, hkl 1 1 2; d 2.906, I 314, hkl 0 2 2; d 2.741, I 431, hkl 2 3 0; d 2.716, I 232, hkl 1 2 2; d 2.459, I 347, hkl 2 1 2

Atomic structure:
```
data_KPPb2
_symmetry_space_group_name_H-M 'P b c m'
_symmetry_Int_Tables_number 57
_cell_length_a 7.6381
_cell_length_b 11.8056
_cell_length_c 6.6783
_cell_angle_alpha 90.00
_cell_angle_beta 90.00
_cell_angle_gamma 90.00
loop_
_symmetry_equiv_pos_as_xyz
'x,y,z'
'-x,-y,-z'
'-x,-y,z+1/2'
'x,y,-z+1/2'
'x,-y+1/2,-z'
'-x,y+1/2,z'
'-x,y+1/2,-z+1/2'
'x,-y+1/2,z+1/2'
loop_
_atom_site_label
_atom_site_fract_x
_atom_site_fract_y
_atom_site_fract_z
K1 0.0265 0.1187 0.2500
P1 0.4297 0.1156 0.2500
Pb1 0.3618 0.7500 0.0000
Pb2 0.3809 0.0773 0.7500
```

Record 2
Structure and calculated X-ray powder pattern of CdAg2C2O6 (a cell relaxed with PBE; copper Kα).
No peak broadening, texture or thermal motion is included.

Most intense lines, 10 to 90 degrees two-theta, low angle first:
d 6.461, I 169, hkl 0 0 1; d 3.756, I 1000, hkl 0 1 1; d 3.230, I 136, hkl 0 0 2; d 2.666, I 634, hkl 1 1 0; d 2.647, I 749, hkl 1 0 2; d 2.174, I 422, hkl 2 0 1; d 1.878, I 246, hkl 0 2 2; d 1.685, I 309, hkl 3 -2 1; d 1.675, I 175, hkl 2 -1 3; d 1.535, I 191, hkl 2 1 2

Atomic structure:
```
data_CdAg2C2O6
_symmetry_space_group_name_H-M 'P -3'
_symmetry_Int_Tables_number 147
_cell_length_a 5.3312
_cell_length_b 5.3312
_cell_length_c 6.4609
_cell_angle_alpha 90.00
_cell_angle_beta 90.00
_cell_angle_gamma 120.00
loop_
_symmetry_equiv_pos_as_xyz
'x,y,z'
'-x,-y,-z'
'-y,x-y,z'
'y,-x+y,-z'
'-x+y,-x,z'
'x-y,x,-z'
loop_
_atom_site_label
_atom_site_fract_x
_atom_site_fract_y
_atom_site_fract_z
Cd1 0.0000 0.0000 0.0000
Ag1 0.3333 0.6667 0.2837
C1 0.3333 0.6667 0.7906
O1 0.1199 0.4006 0.7872
```

Record 3
Structure and calculated X-ray powder pattern of Cd4BiN2 (a cell relaxed with PBE; copper Kα).
No peak broadening, texture or thermal motion is included.

Most intense lines, 10 to 90 degrees two-theta, low angle first:
d 3.600, I 197, hkl 0 1 3; d 3.514, I 473, hkl 1 0 1; d 3.109, I 236, hkl 1 0 3; d 2.862, I 1000, hkl 0 1 5; d 2.660, I 552, hkl 1 1 2; d 2.390, I 262, hkl 1 1 4; d 2.195, I 308, hkl 0 2 0; d 2.152, I 282, hkl 1 0 7; d 2.080, I 337, hkl 1 1 6; d 1.516, I 292, hkl 2 1 5

Atomic structure:
```
data_Cd4BiN2
_symmetry_space_group_name_H-M 'I m m m'
_symmetry_Int_Tables_number 71
_symmetry_space_group_name_Hall '-I 2 2'
_cell_length_a 3.5764
_cell_length_b 4.3908
_cell_length_c 18.8636
_cell_angle_alpha 90.00
_cell_angle_beta 90.00
_cell_angle_gamma 90.00
loop_
_atom_site_label
_atom_site_fract_x
_atom_site_fract_y
_atom_site_fract_z
Cd1 0.0000 0.0000 0.1104
Cd2 0.0000 0.0000 0.2860
Bi1 0.0000 0.5000 0.0000
N1 0.0000 0.5000 0.3106
```

Record 4
Structure and calculated X-ray powder pattern of Ca2NdF7 (a cell relaxed with PBE; copper Kα).
No peak broadening, texture or thermal motion is included.

Most intense lines, 10 to 90 degrees two-theta, low angle first:
d 4.400, I 250, hkl 0 0 7; d 3.850, I 343, hkl 0 0 8; d 3.423, I 372, hkl 0 0 9; d 3.330, I 277, hkl 2 0 -2; d 3.237, I 1000, hkl 1 1 3; d 2.984, I 438, hkl 1 1 -5; d 2.841, I 559, hkl 2 0 6; d 2.052, I 403, hkl 1 1 12; d 1.969, I 981, hkl 3 1 0; d 1.707, I 286, hkl 3 1 9

Atomic structure:
```
data_Ca2NdF7
_symmetry_space_group_name_H-M 'C 1 m 1'
_symmetry_Int_Tables_number 8
_cell_length_a 6.8201
_cell_length_b 3.9400
_cell_length_c 30.8030
_cell_angle_alpha 90.00
_cell_angle_beta 90.13
_cell_angle_gamma 90.00
loop_
_symmetry_equiv_pos_as_xyz
'x,y,z'
'x,-y,z'
'x+1/2,y+1/2,z'
'x+1/2,-y+1/2,z'
loop_
_atom_site_label
_atom_site_fract_x
_atom_site_fract_y
_atom_site_fract_z
Ca1 0.0000 0.0000 0.0000
Ca2 0.0022 0.0000 0.3067
Ca3 0.1668 0.5000 0.1017
Ca4 0.1702 0.5000 0.4142
Ca5 0.3345 0.0000 0.2043
Ca6 0.3372 0.0000 0.5167
Nd1 0.0045 0.0000 0.6265
Nd2 0.1710 0.5000 0.7512
Nd3 0.3338 0.0000 0.8767
F1 0.0000 0.0000 0.0803
F2 0.0003 0.0000 0.8395
F3 0.0000 0.0000 0.9213
F4 0.0014 0.0000 0.2326
F5 0.0038 0.0000 0.4431
F6 0.0041 0.0000 0.5474
F7 0.0041 0.0000 0.7474
F8 0.1664 0.5000 0.9791
F9 0.1671 0.5000 0.8759
F10 0.1675 0.5000 0.1812
F11 0.1693 0.5000 0.3361
F12 0.1705 0.5000 0.4940
F13 0.1710 0.5000 0.5899
F14 0.1711 0.5000 0.6712
F15 0.3336 0.0000 0.0286
F16 0.3338 0.0000 0.1305
F17 0.3353 0.0000 0.2836
F18 0.3349 0.0000 0.7961
F19 0.3366 0.0000 0.3934
F20 0.3378 0.0000 0.6214
F21 0.3377 0.0000 0.7144
```

Record 5
Structure and calculated X-ray powder pattern of Ho7Tl2Os2 (a cell relaxed with PBE; copper Kα).
No peak broadening, texture or thermal motion is included.

Most intense lines, 10 to 90 degrees two-theta, low angle first:
d 4.303, I 348, hkl 0 2 1; d 3.554, I 468, hkl 2 0 1; d 3.121, I 321, hkl 1 1 2; d 2.704, I 533, hkl 0 4 0; d 2.418, I 427, hkl 1 3 2; d 2.405, I 1000, hkl 2 2 2; d 2.084, I 205, hkl 3 3 1; d 2.052, I 268, hkl 4 0 0; d 1.776, I 210, hkl 0 0 4; d 1.484, I 234, hkl 0 4 4

Atomic structure:
```
data_Ho7Tl2Os2
_symmetry_space_group_name_H-M 'C m m m'
_symmetry_Int_Tables_number 65
_symmetry_space_group_name_Hall '-C 2 2'
_cell_length_a 8.2110
_cell_length_b 10.8164
_cell_length_c 7.1018
_cell_angle_alpha 90.00
_cell_angle_beta 90.00
_cell_angle_gamma 90.00
loop_
_atom_site_label
_atom_site_fract_x
_atom_site_fract_y
_atom_site_fract_z
Ho1 0.0000 0.0000 0.0000
Ho2 0.0000 0.5000 0.2379
Ho3 0.2500 0.2500 0.2459
Tl1 0.1821 0.0000 0.5000
Os1 0.0000 0.2904 0.0000
```

Record 6
Structure and calculated X-ray powder pattern of RbBeAs2 (a cell relaxed with PBE; copper Kα).
No peak broadening, texture or thermal motion is included.

Most intense lines, 10 to 90 degrees two-theta, low angle first:
d 4.521, I 243, hkl 6 0 0; d 3.247, I 451, hkl 4 1 0; d 2.971, I 1000, hkl 6 0 1; d 2.863, I 500, hkl 6 1 0; d 2.713, I 341, hkl 10 0 0; d 2.646, I 675, hkl 2 1 1; d 2.507, I 740, hkl 4 1 1; d 1.850, I 244, hkl 0 2 0; d 1.733, I 481, hkl 12 1 1; d 1.570, I 288, hkl 6 2 1

Atomic structure:
```
data_RbBeAs2
_symmetry_space_group_name_H-M 'P n m a'
_symmetry_Int_Tables_number 62
_cell_length_a 27.1270
_cell_length_b 3.6992
_cell_length_c 3.9425
_cell_angle_alpha 90.00
_cell_angle_beta 90.00
_cell_angle_gamma 90.00
loop_
_symmetry_equiv_pos_as_xyz
'x,y,z'
'-x,-y,-z'
'-x+1/2,-y,z+1/2'
'x+1/2,y,-z+1/2'
'x+1/2,-y+1/2,-z+1/2'
'-x+1/2,y+1/2,z+1/2'
'-x,y+1/2,-z'
'x,-y+1/2,z'
loop_
_atom_site_label
_atom_site_fract_x
_atom_site_fract_y
_atom_site_fract_z
Rb1 0.1194 0.2500 0.2006
Be1 0.2476 0.7500 0.2053
As1 0.0096 0.2500 0.6932
As2 0.1995 0.7500 0.7043
```

Record 7
Structure and calculated X-ray powder pattern of KZnN (a cell relaxed with PBE; copper Kα).
No peak broadening, texture or thermal motion is included.

Most intense lines, 10 to 90 degrees two-theta, low angle first:
d 5.565, I 144, hkl 1 1 1; d 3.162, I 342, hkl 0 0 4; d 2.783, I 1000, hkl 2 2 2; d 2.625, I 163, hkl 0 4 0; d 2.020, I 195, hkl 0 4 4; d 1.743, I 228, hkl 2 2 6; d 1.641, I 95, hkl 4 0 4; d 1.544, I 148, hkl 2 6 2; d 1.391, I 103, hkl 4 4 4; d 1.220, I 101, hkl 4 0 8

Atomic structure:
```
data_KZnN
_symmetry_space_group_name_H-M 'F d d d'
_symmetry_Int_Tables_number 70
_cell_length_a 7.6770
_cell_length_b 10.5004
_cell_length_c 12.6492
_cell_angle_alpha 90.00
_cell_angle_beta 90.00
_cell_angle_gamma 90.00
loop_
_symmetry_equiv_pos_as_xyz
'x,y,z'
'-x,-y,-z'
'-x+1/4,-y+1/4,z'
'x+1/4,y+1/4,-z'
'x,-y+1/4,-z+1/4'
'-x,y+1/4,z+1/4'
'-x+1/4,y,-z+1/4'
'x+1/4,-y,z+1/4'
'x,y+1/2,z+1/2'
'-x,-y+1/2,-z+1/2'
'-x+1/4,-y+3/4,z+1/2'
'x+1/4,y+3/4,-z+1/2'
'x,-y+3/4,-z+3/4'
'-x,y+3/4,z+3/4'
'-x+1/4,y+1/2,-z+3/4'
'x+1/4,-y+1/2,z+3/4'
'x+1/2,y,z+1/2'
'-x+1/2,-y,-z+1/2'
'-x+3/4,-y+1/4,z+1/2'
'x+3/4,y+1/4,-z+1/2'
'x+1/2,-y+1/4,-z+3/4'
'-x+1/2,y+1/4,z+3/4'
'-x+3/4,y,-z+3/4'
'x+3/4,-y,z+3/4'
'x+1/2,y+1/2,z'
'-x+1/2,-y+1/2,-z'
'-x+3/4,-y+3/4,z'
'x+3/4,y+3/4,-z'
'x+1/2,-y+3/4,-z+1/4'
'-x+1/2,y+3/4,z+1/4'
'-x+3/4,y+1/2,-z+1/4'
'x+3/4,-y+1/2,z+1/4'
loop_
_atom_site_label
_atom_site_fract_x
_atom_site_fract_y
_atom_site_fract_z
K1 0.0000 0.0000 0.0000
Zn1 0.0000 0.0000 0.5000
N1 0.1250 0.1250 0.4313
```

Record 8
Structure and calculated X-ray powder pattern of EuDyHoIn (a cell relaxed with PBE; copper Kα).
No peak broadening, texture or thermal motion is included.

Most intense lines, 10 to 90 degrees two-theta, low angle first:
d 4.488, I 8, hkl 1 1 1; d 3.887, I 10, hkl 2 0 0; d 2.749, I 1000, hkl 2 2 0; d 1.944, I 183, hkl 4 0 0; d 1.587, I 380, hkl 4 2 2; d 1.374, I 117, hkl 4 4 0; d 1.229, I 163, hkl 6 2 0; d 1.122, I 42, hkl 4 4 4

Atomic structure:
```
data_EuDyHoIn
_symmetry_space_group_name_H-M 'F -4 3 m'
_symmetry_Int_Tables_number 216
_symmetry_space_group_name_Hall 'F -4 2 3'
_cell_length_a 7.7743
_cell_length_b 7.7743
_cell_length_c 7.7743
_cell_angle_alpha 90.00
_cell_angle_beta 90.00
_cell_angle_gamma 90.00
loop_
_atom_site_label
_atom_site_fract_x
_atom_site_fract_y
_atom_site_fract_z
Eu1 0.0000 0.0000 0.0000
Dy1 0.2500 0.2500 0.2500
Ho1 0.2500 0.2500 0.7500
In1 0.0000 0.0000 0.5000
```